Record 1
Computed powder X-ray diffraction pattern
Compound: TbPmPr2Mg
Radiation: Cu Kα, 1.54184 Å
Structure: a DFT-relaxed cell (PBE, Alexandria)
No peak broadening, texture or thermal motion is included.

The 10 most intense peaks (15° ≤ 2θ ≤ 90°), sorted by position:
- 16.85 deg, 5.263 Å, I = 13
- 23.88 deg, 3.726 Å, I = 8
- 29.75 deg, 3.003 Å, I = 25
- 30.72 deg, 2.911 Å, I = 100
- 34.38 deg, 2.609 Å, I = 8
- 37.31 deg, 2.410 Å, I = 7
- 38.24 deg, 2.354 Å, I = 9
- 38.50 deg, 2.338 Å, I = 7
- 49.19 deg, 1.852 Å, I = 9
- 53.40 deg, 1.716 Å, I = 21

Crystal structure
```
10
Lattice="6.007 0.000 0.000 0.000 7.433 0.000 0.000 0.000 7.453" Properties=species:S:1:pos:R:3 pbc="T T T"
Tb 1.502 0.000 0.979
Tb 4.505 0.000 6.474
Pm 1.502 3.716 2.586
Pm 4.505 3.716 4.867
Pr 1.502 2.096 6.057
Pr 1.502 5.337 6.057
Pr 4.505 2.096 1.396
Pr 4.505 5.337 1.396
Mg 0.000 0.000 3.727
Mg 3.003 0.000 3.727
```


Record 2
Computed powder X-ray diffraction pattern
Compound: Sn2Pd2S
Radiation: Cu Kα, 1.54184 Å
Structure: a DFT-relaxed cell (PBE, Alexandria)
No peak broadening, texture or thermal motion is included.

The 10 most intense peaks (15° ≤ 2θ ≤ 90°), sorted by position:
- 17.31 deg, 5.122 Å, I = 20
- 36.64 deg, 2.453 Å, I = 100
- 39.33 deg, 2.291 Å, I = 27
- 48.50 deg, 1.877 Å, I = 11
- 50.39 deg, 1.811 Å, I = 9
- 53.69 deg, 1.707 Å, I = 10
- 57.96 deg, 1.591 Å, I = 11
- 64.14 deg, 1.452 Å, I = 13
- 75.01 deg, 1.266 Å, I = 17
- 82.66 deg, 1.167 Å, I = 10

Crystal structure
```
10
Lattice="7.243 0.000 0.000 0.000 7.243 0.000 0.000 0.000 3.754" Properties=species:S:1:pos:R:3 pbc="T T T"
Sn 1.170 2.451 0.000
Sn 2.451 6.073 0.000
Sn 4.792 1.170 0.000
Sn 6.073 4.792 0.000
Pd 1.001 4.623 1.877
Pd 2.621 1.001 1.877
Pd 4.623 6.242 1.877
Pd 6.242 2.621 1.877
S 0.000 0.000 1.877
S 3.622 3.622 1.877
```


Record 3
Computed powder X-ray diffraction pattern
Compound: Pd2Pt13
Radiation: Cu Kα, 1.54184 Å
Structure: a DFT-relaxed cell (PBE, Alexandria)
No peak broadening, texture or thermal motion is included.

The 10 most intense peaks (15° ≤ 2θ ≤ 90°), sorted by position:
- 35.30 deg, 2.543 Å, I = 27
- 40.11 deg, 2.248 Å, I = 100
- 40.77 deg, 2.213 Å, I = 47
- 45.69 deg, 1.986 Å, I = 28
- 54.48 deg, 1.684 Å, I = 14
- 58.52 deg, 1.577 Å, I = 16
- 72.88 deg, 1.298 Å, I = 16
- 73.32 deg, 1.291 Å, I = 15
- 74.65 deg, 1.271 Å, I = 18
- 88.31 deg, 1.107 Å, I = 11

Crystal structure
```
15
Lattice="4.496 2.596 3.587 -4.496 2.596 3.587 0.000 -5.192 3.587" Properties=species:S:1:pos:R:3 pbc="T T T"
Pd 0.000 0.000 2.657
Pd 0.000 0.000 8.104
Pt 0.000 0.000 0.000
Pt 0.000 -2.573 3.172
Pt -2.229 1.287 3.172
Pt -2.112 -1.219 4.888
Pt -2.229 -1.287 7.589
Pt 0.000 -2.438 5.873
Pt -2.112 1.219 5.873
Pt 2.112 -1.219 4.888
Pt 0.000 2.438 4.888
Pt 2.229 1.287 3.172
Pt 2.112 1.219 5.873
Pt 2.229 -1.287 7.589
Pt 0.000 2.573 7.589
```


Record 4
Computed powder X-ray diffraction pattern
Compound: Ac2PrGe2
Radiation: Cu Kα, 1.54184 Å
Structure: a DFT-relaxed cell (PBE, Alexandria)
No peak broadening, texture or thermal motion is included.

The 10 most intense peaks (15° ≤ 2θ ≤ 90°), sorted by position:
- 24.42 deg, 3.645 Å, I = 31
- 29.00 deg, 3.079 Å, I = 52
- 31.04 deg, 2.881 Å, I = 100
- 34.79 deg, 2.579 Å, I = 31
- 38.33 deg, 2.348 Å, I = 19
- 45.91 deg, 1.976 Å, I = 22
- 50.05 deg, 1.822 Å, I = 26
- 51.36 deg, 1.779 Å, I = 17
- 52.72 deg, 1.736 Å, I = 19
- 61.25 deg, 1.513 Å, I = 23

Crystal structure
```
10
Lattice="8.155 0.000 0.000 0.000 8.155 0.000 0.000 0.000 4.697" Properties=species:S:1:pos:R:3 pbc="T T T"
Ac 1.429 2.649 0.000
Ac 2.649 6.726 0.000
Ac 5.506 1.429 0.000
Ac 6.726 5.506 0.000
Pr 0.000 0.000 2.348
Pr 4.077 4.077 2.348
Ge 0.963 5.040 2.348
Ge 3.114 0.963 2.348
Ge 5.040 7.191 2.348
Ge 7.191 3.114 2.348
```